Theoretical X-ray powder pattern of ScFe2 for Cu Kα (weighted mean of Kα1 and Kα2), from a cell relaxed with PBE.
Neutral-atom scattering factors, no anomalous dispersion.

Largest 10 diffraction maxima, in order of rising 2θ, 15 to 90 degrees two-theta:
| 2θ (°) | d_spacing | I_rel | index |
| --- | --- | --- | --- |
| 36.38 | 2.469 | 20 | 1 1 0 |
| 39.51 | 2.281 | 60 | 1 0 3 |
| 42.91 | 2.108 | 100 | 1 1 2 |
| 43.79 | 2.067 | 97 | 2 0 1 |
| 44.82 | 2.022 | 25 | 0 0 4 |
| 48.13 | 1.890 | 29 | 2 0 2 |
| 67.56 | 1.386 | 20 | 2 1 3 |
| 69.97 | 1.345 | 20 | 3 0 2 |
| 73.38 | 1.290 | 27 | 2 0 5 |
| 77.28 | 1.235 | 24 | 2 2 0 |

Structure:
Cell: 4.9385 4.9385 8.0895 Å, 90.00 90.00 120.00°
Atoms (fractional coordinates):
Sc (0.3333, 0.6667, 0.0628)
Sc (0.3333, 0.6667, 0.4372)
Sc (0.6667, 0.3333, 0.5628)
Sc (0.6667, 0.3333, 0.9372)
Fe (0.0000, 0.0000, 0.0000)
Fe (0.0000, 0.0000, 0.5000)
Fe (0.1679, 0.3358, 0.7500)
Fe (0.1679, 0.8321, 0.7500)
Fe (0.3358, 0.1679, 0.2500)
Fe (0.6642, 0.8321, 0.7500)
Fe (0.8321, 0.1679, 0.2500)
Fe (0.8321, 0.6642, 0.2500)



Theoretical X-ray powder pattern of Li2RuN2 for Cu Kα (weighted mean of Kα1 and Kα2), from a cell relaxed with PBE.
Neutral-atom scattering factors, no anomalous dispersion.

Largest 10 diffraction maxima, in order of rising 2θ, 15 to 90 degrees two-theta:
| 2θ (°) | d_spacing | I_rel | index |
| --- | --- | --- | --- |
| 17.01 | 5.211 | 100 | 0 0 1 |
| 32.68 | 2.740 | 39 | 1 0 0 |
| 34.42 | 2.606 | 9 | 0 0 2 |
| 37.07 | 2.425 | 85 | 0 1 1 |
| 48.19 | 1.888 | 49 | 0 1 2 |
| 58.32 | 1.582 | 18 | 1 1 0 |
| 61.23 | 1.514 | 18 | 1 1 1 |
| 63.40 | 1.467 | 18 | 1 0 3 |
| 71.15 | 1.325 | 12 | 2 0 1 |
| 78.94 | 1.213 | 11 | 2 0 2 |

Structure:
Cell: 3.1642 3.1642 5.2115 Å, 90.00 90.00 120.00°
Atoms (fractional coordinates):
Li (0.3333, 0.6667, 0.1398)
Li (0.6667, 0.3333, 0.8602)
Ru (0.0000, 0.0000, 0.5000)
N (0.3333, 0.6667, 0.7130)
N (0.6667, 0.3333, 0.2870)